No. 1
The following is a computed X-ray diffraction stick pattern of CsLiRuPtI. It was derived from the GGA-PBE geometry in Alexandria, using Cu Kα (λ = 1.5418 Å).

The 6 most intense peaks (2θ = 10–90°), by intensity:
| 2θ/deg | I_rel | hkl |
| --- | --- | --- |
| 31.58 | 100.0 | 1 0 2 |
| 22.36 | 97.4 | 0 1 1 |
| 19.51 | 56.2 | 0 1 0 |
| 45.13 | 55.8 | 1 1 3 |
| 30.05 | 54.4 | 1 1 0 |
| 29.37 | 50.9 | 0 1 2 |

Structure:
```
data_CsLiRuPtI
_space_group_name_H-M_alt 'P m m 2'
_space_group_IT_number 25
_cell_length_a 3.9295
_cell_length_b 4.5503
_cell_length_c 8.1745
_cell_angle_alpha 90.00
_cell_angle_beta 90.00
_cell_angle_gamma 90.00
loop_
_space_group_symop_operation_xyz
'x,y,z'
'-x,-y,z'
'-x,y,z'
'x,-y,z'
loop_
_atom_site_label
_atom_site_fract_x
_atom_site_fract_y
_atom_site_fract_z
Cs1 0.0000 0.0000 0.0000
Li1 0.5000 0.0000 0.4177
Ru1 0.0000 0.5000 0.4401
Pt1 0.5000 0.5000 0.2555
I1 0.5000 0.5000 0.6709
```

=====

No. 2
The following is a computed X-ray diffraction stick pattern of NaTcCl4. It was derived from the GGA-PBE geometry in Alexandria, using Cu Kα (λ = 1.5418 Å).

The 6 most intense peaks (2θ = 10–90°), by intensity:
| 2θ/deg | I_rel | hkl |
| --- | --- | --- |
| 12.66 | 100.0 | 0 0 1 |
| 14.52 | 49.8 | 1 0 1 |
| 13.13 | 29.8 | 0 1 0 |
| 14.64 | 25.1 | 1 1 0 |
| 36.85 | 19.7 | 2 0 3 |
| 37.05 | 18.3 | 2 0 -1 |

Structure:
```
data_NaTcCl4
_space_group_name_H-M_alt 'P -1'
_space_group_IT_number 2
_cell_length_a 7.5337
_cell_length_b 7.5547
_cell_length_c 7.8134
_cell_angle_alpha 85.05
_cell_angle_beta 64.41
_cell_angle_gamma 64.09
loop_
_space_group_symop_operation_xyz
'x,y,z'
'-x,-y,-z'
loop_
_atom_site_label
_atom_site_fract_x
_atom_site_fract_y
_atom_site_fract_z
Na1 0.0486 0.2473 0.4547
Tc1 0.4819 0.6460 0.5288
Cl1 0.1346 0.8018 0.7822
Cl2 0.1875 0.3565 0.6995
Cl3 0.3250 0.8345 0.3294
Cl4 0.3733 0.3925 0.2518
```

=====

No. 3
The following is a computed X-ray diffraction stick pattern of Sc4GaNi. It was derived from the GGA-PBE geometry in Alexandria, using Cu Kα (λ = 1.5418 Å).

The 6 most intense peaks (2θ = 10–90°), by intensity:
| 2θ/deg | I_rel | hkl |
| --- | --- | --- |
| 38.50 | 100.0 | 2 2 1 |
| 33.96 | 91.6 | 3 1 -1 |
| 40.20 | 70.7 | 1 3 -2 |
| 38.26 | 69.4 | 1 5 0 |
| 42.37 | 58.4 | 3 3 0 |
| 14.29 | 55.3 | 0 2 0 |

Structure:
```
data_Sc4GaNi
_space_group_name_H-M_alt 'C 1 2/c 1'
_space_group_IT_number 15
_cell_length_a 8.1601
_cell_length_b 12.3919
_cell_length_c 5.3609
_cell_angle_alpha 90.00
_cell_angle_beta 113.67
_cell_angle_gamma 90.00
loop_
_space_group_symop_operation_xyz
'x,y,z'
'-x,-y,-z'
'-x,y,-z+1/2'
'x,-y,z+1/2'
'x+1/2,y+1/2,z'
'-x+1/2,-y+1/2,-z'
'-x+1/2,y+1/2,-z+1/2'
'x+1/2,-y+1/2,z+1/2'
loop_
_atom_site_label
_atom_site_fract_x
_atom_site_fract_y
_atom_site_fract_z
Sc1 0.1169 0.1761 0.0732
Sc2 0.2094 0.4281 0.3283
Ga1 0.0000 0.3715 0.7500
Ni1 0.0000 0.0008 0.2500
```

=====

No. 4
The following is a computed X-ray diffraction stick pattern of Ca3CuP2Pd9. It was derived from the GGA-PBE geometry in Alexandria, using Cu Kα (λ = 1.5418 Å).

The 6 most intense peaks (2θ = 10–90°), by intensity:
| 2θ/deg | I_rel | hkl |
| --- | --- | --- |
| 32.55 | 100.0 | 0 2 1 |
| 39.20 | 95.7 | 2 0 2 |
| 19.31 | 44.0 | 1 0 1 |
| 53.36 | 35.6 | 2 2 0 |
| 59.81 | 26.5 | 0 2 4 |
| 37.26 | 23.3 | 0 0 3 |

Structure:
```
data_Ca3CuP2Pd9
_space_group_name_H-M_alt 'P -3 m 1'
_space_group_IT_number 164
_space_group_name_Hall '-P 3 2"'
_cell_length_a 6.8680
_cell_length_b 6.8680
_cell_length_c 7.2403
_cell_angle_alpha 90.00
_cell_angle_beta 90.00
_cell_angle_gamma 120.00
loop_
_atom_site_label
_atom_site_fract_x
_atom_site_fract_y
_atom_site_fract_z
Ca1 0.0000 0.0000 0.0000
Ca2 0.3333 0.6667 0.6769
Cu1 0.0000 0.0000 0.5000
P1 0.3333 0.6667 0.1555
Pd1 0.0000 0.5000 0.0000
Pd2 0.1824 0.3648 0.3467
```

=====

No. 5
The following is a computed X-ray diffraction stick pattern of Sr8B3N8. It was derived from the GGA-PBE geometry in Alexandria, using Cu Kα (λ = 1.5418 Å).

The 6 most intense peaks (2θ = 10–90°), by intensity:
| 2θ/deg | I_rel | hkl |
| --- | --- | --- |
| 34.32 | 100.0 | 0 2 0 |
| 30.31 | 85.4 | 5 1 -1 |
| 28.21 | 67.4 | 3 1 1 |
| 29.59 | 60.8 | 1 1 -2 |
| 24.14 | 48.0 | 2 0 -2 |
| 30.61 | 44.8 | 3 1 -2 |

Structure:
```
data_Sr8B3N8
_space_group_name_H-M_alt 'C 1 2/m 1'
_space_group_IT_number 12
_cell_length_a 18.2477
_cell_length_b 5.2252
_cell_length_c 7.4284
_cell_angle_alpha 90.00
_cell_angle_beta 106.84
_cell_angle_gamma 90.00
loop_
_space_group_symop_operation_xyz
'x,y,z'
'-x,-y,-z'
'-x,y,-z'
'x,-y,z'
'x+1/2,y+1/2,z'
'-x+1/2,-y+1/2,-z'
'-x+1/2,y+1/2,-z'
'x+1/2,-y+1/2,z'
loop_
_atom_site_label
_atom_site_fract_x
_atom_site_fract_y
_atom_site_fract_z
Sr1 0.0356 0.0000 0.2589
Sr2 0.1065 0.5000 0.9348
Sr3 0.1751 0.5000 0.4812
Sr4 0.2015 0.0000 0.8142
B1 0.0000 0.5000 0.5000
B2 0.1879 0.0000 0.1998
N1 0.0157 0.5000 0.3314
N2 0.1153 0.0000 0.0258
N3 0.1799 0.0000 0.3960
N4 0.2320 0.5000 0.8328
```

=====

No. 6
The following is a computed X-ray diffraction stick pattern of Nb2ReIr5Ru. It was derived from the GGA-PBE geometry in Alexandria, using Cu Kα (λ = 1.5418 Å).

The 6 most intense peaks (2θ = 10–90°), by intensity:
| 2θ/deg | I_rel | hkl |
| --- | --- | --- |
| 39.80 | 100.0 | 2 0 4 |
| 35.77 | 66.0 | 2 2 0 |
| 36.41 | 48.4 | 2 1 3 |
| 66.98 | 23.0 | 4 2 4 |
| 40.16 | 21.2 | 3 1 0 |
| 58.54 | 18.6 | 4 1 3 |

Structure:
```
data_Nb2ReIr5Ru
_space_group_name_H-M_alt 'I 4/m c m'
_space_group_IT_number 140
_space_group_name_Hall '-I 4 2c'
_cell_length_a 7.1009
_cell_length_b 7.1009
_cell_length_c 11.7620
_cell_angle_alpha 90.00
_cell_angle_beta 90.00
_cell_angle_gamma 90.00
loop_
_atom_site_label
_atom_site_fract_x
_atom_site_fract_y
_atom_site_fract_z
Nb1 0.1217 0.3783 0.0000
Re1 0.0000 0.0000 0.2500
Ir1 0.0000 0.0000 0.0000
Ir2 0.2094 0.2906 0.3546
Ru1 0.0000 0.5000 0.2500
```